# 1
The following is a computed powder XRD pattern of CeTm5TlIn2. It was derived from a cell relaxed with GGA-PBE, using Cu Kα X-rays.

Structure:
```
data_CeTm5TlIn2
_cell_length_a 8.3616
_cell_length_b 8.3616
_cell_length_c 14.2549
_cell_angle_alpha 90.00
_cell_angle_beta 90.00
_cell_angle_gamma 90.00
_symmetry_space_group_name_H-M 'I 4/m c m'
_symmetry_Int_Tables_number 140
_symmetry_space_group_name_Hall '-I 4 2c'
loop_
_atom_site_label
_atom_site_fract_x
_atom_site_fract_y
_atom_site_fract_z
Ce1 0.0000 0.5000 0.2500
Tm1 0.0000 0.0000 0.0000
Tm2 0.2061 0.2939 0.1358
Tl1 0.0000 0.0000 0.2500
In1 0.1134 0.3866 0.5000
```

The 10 most intense peaks (2θ from 5° to 70°), by intensity:
2theta  I/Imax  index
33.03  100  2 0 4
30.23  53  2 2 0
30.42  39  2 1 3
55.50  20  4 2 4
45.17  19  4 0 2
33.90  16  3 1 0
39.36  13  3 2 1
60.68  13  2 2 8
48.83  11  4 1 3
51.27  11  0 0 8

# 2
The following is a computed powder XRD pattern of TbPm3Dy8. It was derived from a cell relaxed with GGA-PBE, using Cu Kα X-rays.

Structure:
```
data_TbPm3Dy8
_cell_length_a 6.4590
_cell_length_b 11.2968
_cell_length_c 11.4420
_cell_angle_alpha 90.00
_cell_angle_beta 90.00
_cell_angle_gamma 90.00
_symmetry_space_group_name_H-M 'I m m m'
_symmetry_Int_Tables_number 71
_symmetry_space_group_name_Hall '-I 2 2'
loop_
_atom_site_label
_atom_site_fract_x
_atom_site_fract_y
_atom_site_fract_z
Tb1 0.0000 0.0000 0.0000
Pm1 0.0000 0.0000 0.5000
Pm2 0.0000 0.5000 0.2528
Dy1 0.0000 0.1684 0.2496
Dy2 0.2483 0.2536 0.5000
```

The 10 most intense peaks (2θ from 5° to 70°), by intensity:
2theta  I/Imax  index
31.64  100  1 3 2
31.27  52  0 0 4
31.82  45  2 0 2
35.66  40  2 2 2
66.08  25  2 6 4
31.92  23  2 2 0
51.43  22  3 3 2
56.58  19  2 6 0
35.45  19  0 4 2
45.30  19  2 2 4

# 3
The following is a computed powder XRD pattern of NaAg5F7. It was derived from a cell relaxed with GGA-PBE, using Cu Kα X-rays.

Structure:
```
data_NaAg5F7
_cell_length_a 3.3720
_cell_length_b 6.0642
_cell_length_c 20.0729
_cell_angle_alpha 95.38
_cell_angle_beta 91.67
_cell_angle_gamma 101.72
_symmetry_space_group_name_H-M 'P -1'
_symmetry_Int_Tables_number 2
loop_
_symmetry_equiv_pos_as_xyz
'x,y,z'
'-x,-y,-z'
loop_
_atom_site_label
_atom_site_fract_x
_atom_site_fract_y
_atom_site_fract_z
Na1 0.2011 0.3726 0.2312
Ag1 0.0000 0.0000 0.0000
Ag2 0.1116 0.1026 0.6772
Ag3 0.1303 0.4339 0.4198
Ag4 0.2747 0.5809 0.9261
Ag5 0.4437 0.8807 0.1566
Ag6 0.5000 0.0000 0.5000
F1 0.1041 0.1481 0.1155
F2 0.1872 0.2905 0.5294
F3 0.2308 0.4139 0.8168
F4 0.2641 0.6187 0.3268
F5 0.3593 0.7145 0.0415
F6 0.3868 0.8810 0.7472
F7 0.4391 0.1236 0.4001
```

The 10 most intense peaks (2θ from 5° to 70°), by intensity:
2theta  I/Imax  index
29.45  100  0 1 -6
8.86  61  0 0 2
32.20  36  0 1 6
35.31  34  1 1 -3
37.10  32  1 -2 2
31.11  31  1 -1 3
34.19  30  1 1 -2
28.23  29  0 1 5
33.63  29  1 1 -1
36.36  28  0 1 7

# 4
The following is a computed powder XRD pattern of Ce12Rh6Au. It was derived from a cell relaxed with GGA-PBE, using Cu Kα X-rays.

Structure:
```
data_Ce12Rh6Au
_cell_length_a 12.2437
_cell_length_b 12.2437
_cell_length_c 12.1882
_cell_angle_alpha 90.00
_cell_angle_beta 90.00
_cell_angle_gamma 120.00
_symmetry_space_group_name_H-M 'R -3'
_symmetry_Int_Tables_number 148
_symmetry_space_group_name_Hall '-R 3'
loop_
_atom_site_label
_atom_site_fract_x
_atom_site_fract_y
_atom_site_fract_z
Ce1 0.0204 0.8151 0.3915
Ce2 0.0592 0.8352 0.8743
Rh1 0.0357 0.7679 0.6401
Au1 0.0000 0.0000 0.0000
```

The 10 most intense peaks (2θ from 5° to 70°), by intensity:
2theta  I/Imax  index
38.92  100  4 1 0
37.06  90  3 -1 4
23.37  76  3 -1 1
33.86  71  4 -1 2
26.62  49  1 2 2
30.53  35  1 0 4
54.81  28  2 4 4
22.23  26  2 0 2
50.19  23  1 5 2
47.81  21  4 2 2

# 5
The following is a computed powder XRD pattern of Tb2CePm6Sm. It was derived from a cell relaxed with GGA-PBE, using Cu Kα X-rays.

Structure:
```
data_Tb2CePm6Sm
_cell_length_a 11.3995
_cell_length_b 6.9370
_cell_length_c 8.9413
_cell_angle_alpha 90.00
_cell_angle_beta 104.18
_cell_angle_gamma 90.00
_symmetry_space_group_name_H-M 'C 1 2/m 1'
_symmetry_Int_Tables_number 12
loop_
_symmetry_equiv_pos_as_xyz
'x,y,z'
'-x,-y,-z'
'-x,y,-z'
'x,-y,z'
'x+1/2,y+1/2,z'
'-x+1/2,-y+1/2,-z'
'-x+1/2,y+1/2,-z'
'x+1/2,-y+1/2,z'
loop_
_atom_site_label
_atom_site_fract_x
_atom_site_fract_y
_atom_site_fract_z
Tb1 0.0900 0.0000 0.1630
Ce1 0.0000 0.5000 0.0000
Pm1 0.1258 0.5000 0.4151
Pm2 0.1727 0.2369 0.8003
Sm1 0.0000 0.0000 0.5000
```

The 10 most intense peaks (2θ from 5° to 70°), by intensity:
2theta  I/Imax  index
30.84  100  2 2 -1
31.43  72  4 0 -1
30.43  56  2 2 0
27.11  55  1 1 2
55.91  53  2 2 4
32.71  47  1 1 -3
33.08  46  0 2 2
30.58  39  3 1 -2
33.46  37  2 2 1
29.13  35  2 0 2

# 6
The following is a computed powder XRD pattern of Be5In4. It was derived from a cell relaxed with GGA-PBE, using Cu Kα X-rays.

Structure:
```
data_Be5In4
_cell_length_a 7.4143
_cell_length_b 7.4143
_cell_length_c 6.4778
_cell_angle_alpha 90.00
_cell_angle_beta 90.00
_cell_angle_gamma 120.00
_symmetry_space_group_name_H-M 'P 63/m c m'
_symmetry_Int_Tables_number 193
_symmetry_space_group_name_Hall '-P 6c 2'
loop_
_atom_site_label
_atom_site_fract_x
_atom_site_fract_y
_atom_site_fract_z
Be1 0.0000 0.3141 0.2500
Be2 0.3333 0.6667 0.0000
In1 0.0000 0.0000 0.0000
In2 0.0000 0.3643 0.7500
```

The 10 most intense peaks (2θ from 5° to 70°), by intensity:
2theta  I/Imax  index
27.74  100  1 1 1
36.85  47  1 1 2
42.22  35  3 0 0
30.92  17  1 0 2
48.81  17  1 1 3
13.79  15  1 0 0
51.27  12  2 2 1
57.27  10  2 2 2
27.54  10  0 0 2
59.21  10  3 1 2

- What is the formula in the first record?
  CeTm5TlIn2